No. 1
# MgCd5
Computed PXRD pattern, λ = 1.5418 Å (Cu Kα). Input: a structure optimized by DFT (GGA-PBE).
Lines closer than 0.1° are merged.

Largest 8 diffraction maxima, sorted by position, 5 to 70 degrees two-theta:
- 5.43 deg, intensity 34.4
- 33.02 deg, intensity 30.8
- 33.28 deg, intensity 24.2
- 37.28 deg, intensity 100.0
- 47.58 deg, intensity 17.1
- 59.46 deg, intensity 16.0
- 61.80 deg, intensity 21.3
- 69.72 deg, intensity 19.5

Atomic structure:
Cell lengths 3.1089, 3.1089, 16.2770 Å; angles 90.00, 90.00, 120.00 degrees
Space group P-6m2 (No. 187)
Asymmetric unit:
Mg 0.0000 0.0000 0.0000 [1 per cell]
Cd 0.0000 0.0000 0.3330 [2 per cell]
Cd 0.6667 0.3333 0.1647 [2 per cell]
Cd 0.6667 0.3333 0.5000 [1 per cell]


No. 2
# SrH6C2O6
Computed PXRD pattern, λ = 1.5418 Å (Cu Kα). Input: a structure optimized by DFT (GGA-PBE).
Lines closer than 0.1° are merged.

Largest 8 diffraction maxima, sorted by position, 5 to 70 degrees two-theta:
- 13.27 deg, intensity 100.0
- 13.98 deg, intensity 15.3
- 15.20 deg, intensity 21.7
- 22.15 deg, intensity 48.4
- 26.03 deg, intensity 21.6
- 27.15 deg, intensity 35.9
- 32.36 deg, intensity 22.0
- 34.79 deg, intensity 16.8

Atomic structure:
Cell lengths 7.5470, 8.1371, 11.6581 Å; angles 90.00, 90.00, 90.00 degrees
Space group P2_12_12_1 (No. 19)
Asymmetric unit:
Sr 0.0363 0.2353 0.4620 [4 per cell]
H 0.0023 0.1214 0.0068 [4 per cell]
H 0.0687 0.8651 0.7709 [4 per cell]
H 0.1282 0.1034 0.8108 [4 per cell]
H 0.1403 0.8569 0.7263 [4 per cell]
H 0.2139 0.3510 0.8304 [4 per cell]
H 0.2255 0.1835 0.0389 [4 per cell]
C 0.1440 0.1037 0.9830 [4 per cell]
C 0.1757 0.4490 0.2466 [4 per cell]
O 0.0981 0.3152 0.2584 [4 per cell]
O 0.1659 0.1826 0.8684 [4 per cell]
O 0.1817 0.5087 0.1389 [4 per cell]
O 0.1938 0.9435 0.9820 [4 per cell]
O 0.2380 0.3275 0.6256 [4 per cell]
O 0.2476 0.4769 0.8335 [4 per cell]